[1]
AcBe2AgF8: simulated powder diffraction line list (Cu Ka), based on the GGA-PBE geometry in Alexandria.
Kinematic intensities with the Lorentz-polarization factor, no thermal factor.

Principal peaks in the range 10 to 90 degrees two-theta, sorted by position:
- d 7.001, intensity 22
- d 4.085, intensity 100
- d 3.388, intensity 97
- d 2.560, intensity 45
- d 2.404, intensity 21
- d 2.259, intensity 35
- d 2.169, intensity 30
- d 2.066, intensity 70
- d 1.655, intensity 20
- d 1.445, intensity 20

Structural model:
```
AcBe2AgF8
1.0
2.560 1.478 7.001
-2.560 1.478 7.001
0.000 -2.956 7.001
Ac Be Ag F
1 2 1 8
direct
0.000 0.000 0.000
0.256 0.256 0.256
0.744 0.744 0.744
0.500 0.500 0.500
0.013 0.830 0.442
0.170 0.558 0.987
0.333 0.333 0.333
0.442 0.013 0.830
0.558 0.987 0.170
0.667 0.667 0.667
0.830 0.442 0.013
0.987 0.170 0.558
```

---

[2]
Ac2Be3AgGe4: simulated powder diffraction line list (Cu Ka), based on the GGA-PBE geometry in Alexandria.
Kinematic intensities with the Lorentz-polarization factor, no thermal factor.

Principal peaks in the range 10 to 90 degrees two-theta, sorted by position:
- d 4.010, intensity 56
- d 2.664, intensity 50
- d 2.635, intensity 100
- d 2.185, intensity 43
- d 1.919, intensity 16
- d 1.831, intensity 23
- d 1.690, intensity 26
- d 1.545, intensity 15
- d 1.404, intensity 19
- d 1.333, intensity 24

Structural model:
```
Ac2Be3AgGe4
1.0
4.371 0.000 0.000
0.000 4.371 0.000
0.000 0.000 10.082
Ac Be Ag Ge
2 3 1 4
direct
0.000 0.500 0.244
0.500 0.000 0.756
0.000 0.500 0.881
0.500 0.000 0.119
0.500 0.500 0.500
0.000 0.000 0.500
0.000 0.000 0.000
0.000 0.500 0.644
0.500 0.000 0.356
0.500 0.500 0.000
```